(1)
# Pr4Sm3Hg
Computed X-ray diffraction stick pattern, Cu Ka. Input: a GGA-PBE-relaxed structure.
No peak broadening, texture or thermal motion is included.

Principal peaks in the range 5 to 70 degrees two-theta, by intensity:
2θ 30.2, I = 100, (1 0 4); 2θ 34.1, I = 40, (1 1 0); 2θ 58.7, I = 31, (2 1 4); 2θ 51.1, I = 18, (1 1 8); 2θ 49.0, I = 14, (2 0 0); 2θ 36.9, I = 12, (0 0 8); 2θ 62.9, I = 10, (2 0 8); 2θ 62.4, I = 6, (1 0 12); 2θ 33.3, I = 5, (1 0 5); 2θ 57.6, I = 4, (1 0 11)

Crystal structure
```
data_Pr4Sm3Hg
_cell_length_a 3.7172
_cell_length_b 3.7172
_cell_length_c 19.4875
_cell_angle_alpha 90.00
_cell_angle_beta 90.00
_cell_angle_gamma 90.00
_symmetry_space_group_name_H-M 'P 4/m m m'
_symmetry_Int_Tables_number 123
_symmetry_space_group_name_Hall '-P 4 2'
loop_
_atom_site_label
_atom_site_fract_x
_atom_site_fract_y
_atom_site_fract_z
Pr1 0.0000 0.0000 0.1056
Pr2 0.0000 0.0000 0.3690
Sm1 0.5000 0.5000 0.2376
Sm2 0.5000 0.5000 0.5000
Hg1 0.5000 0.5000 0.0000
```

***

(2)
# SrMg3Tl9
Computed X-ray diffraction stick pattern, Cu Ka. Input: a GGA-PBE-relaxed structure.
No peak broadening, texture or thermal motion is included.

Principal peaks in the range 5 to 70 degrees two-theta, by intensity:
2θ 32.6, I = 100, (1 5 0); 2θ 28.8, I = 95, (2 0 -1); 2θ 32.2, I = 91, (1 1 2); 2θ 36.4, I = 82, (1 5 1); 2θ 32.5, I = 79, (0 4 2); 2θ 32.8, I = 78, (1 5 -1); 2θ 28.5, I = 77, (1 3 -2); 2θ 36.9, I = 71, (1 3 -3); 2θ 36.5, I = 60, (2 0 1); 2θ 37.1, I = 59, (2 4 -1)

Crystal structure
```
data_SrMg3Tl9
_cell_length_a 6.1963
_cell_length_b 15.5686
_cell_length_c 8.3263
_cell_angle_alpha 90.00
_cell_angle_beta 110.08
_cell_angle_gamma 90.00
_symmetry_space_group_name_H-M 'C 1 2/m 1'
_symmetry_Int_Tables_number 12
loop_
_symmetry_equiv_pos_as_xyz
'x,y,z'
'-x,-y,-z'
'-x,y,-z'
'x,-y,z'
'x+1/2,y+1/2,z'
'-x+1/2,-y+1/2,-z'
'-x+1/2,y+1/2,-z'
'x+1/2,-y+1/2,z'
loop_
_atom_site_label
_atom_site_fract_x
_atom_site_fract_y
_atom_site_fract_z
Sr1 0.0000 0.0000 0.0000
Mg1 0.0000 0.5000 0.5000
Mg2 0.2500 0.2500 0.0000
Tl1 0.0000 0.0000 0.5000
Tl2 0.0954 0.3922 0.2081
Tl3 0.1731 0.1787 0.3472
```

***

(3)
# Sc2PaP3
Computed X-ray diffraction stick pattern, Cu Ka. Input: a GGA-PBE-relaxed structure.
No peak broadening, texture or thermal motion is included.

Principal peaks in the range 5 to 70 degrees two-theta, by intensity:
2θ 33.0, I = 100, (2 0 3); 2θ 47.3, I = 89, (2 2 3); 2θ 28.4, I = 86, (2 1 0); 2θ 32.8, I = 51, (0 2 0); 2θ 13.9, I = 50, (1 0 1); 2θ 21.4, I = 44, (1 1 1); 2θ 58.8, I = 36, (0 2 6); 2θ 19.3, I = 28, (1 0 2); 2θ 56.2, I = 27, (4 1 3); 2θ 25.3, I = 26, (1 1 2)

Crystal structure
```
data_Sc2PaP3
_cell_length_a 7.6805
_cell_length_b 5.4534
_cell_length_c 11.5069
_cell_angle_alpha 90.00
_cell_angle_beta 90.00
_cell_angle_gamma 90.00
_symmetry_space_group_name_H-M 'P n m a'
_symmetry_Int_Tables_number 62
loop_
_symmetry_equiv_pos_as_xyz
'x,y,z'
'-x,-y,-z'
'-x+1/2,-y,z+1/2'
'x+1/2,y,-z+1/2'
'x+1/2,-y+1/2,-z+1/2'
'-x+1/2,y+1/2,z+1/2'
'-x,y+1/2,-z'
'x,-y+1/2,z'
loop_
_atom_site_label
_atom_site_fract_x
_atom_site_fract_y
_atom_site_fract_z
Sc1 0.1219 0.2500 0.0840
Sc2 0.1249 0.2500 0.7490
Pa1 0.1287 0.2500 0.4189
P1 0.1194 0.7500 0.0860
P2 0.1239 0.7500 0.7492
P3 0.1326 0.7500 0.4135
```

***

(4)
# Ac12La5Pr
Computed X-ray diffraction stick pattern, Cu Ka. Input: a GGA-PBE-relaxed structure.
No peak broadening, texture or thermal motion is included.

Principal peaks in the range 5 to 70 degrees two-theta, by intensity:
2θ 29.6, I = 100, (1 3 3); 2θ 29.8, I = 46, (1 0 6); 2θ 28.2, I = 37, (2 0 0); 2θ 54.9, I = 23, (2 3 9); 2θ 50.8, I = 23, (3 3 3); 2θ 26.0, I = 21, (0 3 3); 2θ 46.0, I = 20, (0 3 9); 2θ 55.5, I = 16, (1 6 6); 2θ 38.7, I = 15, (2 3 3); 2θ 26.1, I = 13, (0 0 6)

Crystal structure
```
data_Ac12La5Pr
_cell_length_a 6.3274
_cell_length_b 11.9182
_cell_length_c 20.4491
_cell_angle_alpha 90.00
_cell_angle_beta 90.00
_cell_angle_gamma 90.00
_symmetry_space_group_name_H-M 'A m m 2'
_symmetry_Int_Tables_number 38
loop_
_symmetry_equiv_pos_as_xyz
'x,y,z'
'-x,-y,z'
'-x,y,z'
'x,-y,z'
'x,y+1/2,z+1/2'
'-x,-y+1/2,z+1/2'
'-x,y+1/2,z+1/2'
'x,-y+1/2,z+1/2'
loop_
_atom_site_label
_atom_site_fract_x
_atom_site_fract_y
_atom_site_fract_z
Ac1 0.0000 0.1624 0.0000
Ac2 0.0000 0.1626 0.3329
Ac3 0.0000 0.1625 0.6667
Ac4 0.5000 0.1622 0.7820
Ac5 0.5000 0.1627 0.1156
Ac6 0.5000 0.1625 0.4485
La1 0.0000 0.0000 0.5047
La2 0.0000 0.0000 0.8380
La3 0.5000 0.0000 0.2769
La4 0.5000 0.0000 0.6104
La5 0.5000 0.0000 0.9438
Pr1 0.0000 0.0000 0.1704
```

***

(5)
# Ca2Ni5As4
Computed X-ray diffraction stick pattern, Cu Ka. Input: a GGA-PBE-relaxed structure.
No peak broadening, texture or thermal motion is included.

Principal peaks in the range 5 to 70 degrees two-theta, by intensity:
2θ 37.5, I = 100, (1 3 3); 2θ 42.4, I = 91, (2 0 4); 2θ 18.0, I = 67, (0 2 0); 2θ 19.8, I = 64, (1 1 1); 2θ 46.4, I = 56, (2 2 4); 2θ 45.2, I = 46, (0 4 4); 2θ 32.5, I = 46, (1 3 1); 2θ 46.1, I = 36, (1 3 5); 2θ 53.1, I = 33, (0 0 8); 2θ 66.5, I = 32, (2 6 0)

Crystal structure
```
data_Ca2Ni5As4
_cell_length_a 5.4261
_cell_length_b 9.8667
_cell_length_c 13.7942
_cell_angle_alpha 90.00
_cell_angle_beta 90.00
_cell_angle_gamma 90.00
_symmetry_space_group_name_H-M 'F m m m'
_symmetry_Int_Tables_number 69
_symmetry_space_group_name_Hall '-F 2 2'
loop_
_atom_site_label
_atom_site_fract_x
_atom_site_fract_y
_atom_site_fract_z
Ca1 0.0000 0.0000 0.1380
Ni1 0.0000 0.0000 0.5000
Ni2 0.2500 0.2500 0.0000
Ni3 0.2500 0.2500 0.2500
As1 0.0000 0.1576 0.3726
```

***

(6)
# U3Tl3VSe8
Computed X-ray diffraction stick pattern, Cu Ka. Input: a GGA-PBE-relaxed structure.
No peak broadening, texture or thermal motion is included.

Principal peaks in the range 5 to 70 degrees two-theta, by intensity:
2θ 29.7, I = 100, (0 2 4); 2θ 39.6, I = 41, (2 0 8); 2θ 45.1, I = 36, (2 2 0); 2θ 22.2, I = 20, (0 0 6); 2θ 14.7, I = 19, (0 1 2); 2θ 26.7, I = 18, (2 0 2); 2θ 54.9, I = 18, (4 0 4); 2θ 65.8, I = 15, (2 2 12); 2θ 61.6, I = 12, (0 4 8); 2θ 45.9, I = 11, (0 2 10)

Crystal structure
```
data_U3Tl3VSe8
_cell_length_a 8.0345
_cell_length_b 8.0345
_cell_length_c 24.0485
_cell_angle_alpha 90.00
_cell_angle_beta 90.00
_cell_angle_gamma 120.00
_symmetry_space_group_name_H-M 'R -3 m'
_symmetry_Int_Tables_number 166
_symmetry_space_group_name_Hall '-R 3 2"'
loop_
_atom_site_label
_atom_site_fract_x
_atom_site_fract_y
_atom_site_fract_z
U1 0.0000 0.5000 0.0000
Tl1 0.0000 0.5000 0.5000
V1 0.0000 0.0000 0.0000
Se1 0.0000 0.0000 0.2632
Se2 0.0189 0.5095 0.7315
```

***

(7)
# Pr3InAs
Computed X-ray diffraction stick pattern, Cu Ka. Input: a GGA-PBE-relaxed structure.
No peak broadening, texture or thermal motion is included.

Principal peaks in the range 5 to 70 degrees two-theta, by intensity:
2θ 32.7, I = 100, (2 1 -1); 2θ 26.8, I = 63, (0 1 2); 2θ 37.8, I = 32, (0 2 0); 2θ 26.6, I = 31, (2 0 1); 2θ 46.8, I = 18, (2 2 1); 2θ 38.3, I = 18, (2 0 -3); 2θ 34.4, I = 15, (0 1 3); 2θ 58.5, I = 14, (4 1 -2); 2θ 65.0, I = 14, (2 3 -1); 2θ 50.5, I = 13, (2 1 4)

Crystal structure
```
data_Pr3InAs
_cell_length_a 7.1684
_cell_length_b 4.7615
_cell_length_c 9.3295
_cell_angle_alpha 90.00
_cell_angle_beta 90.04
_cell_angle_gamma 90.00
_symmetry_space_group_name_H-M 'P 1 21/m 1'
_symmetry_Int_Tables_number 11
loop_
_symmetry_equiv_pos_as_xyz
'x,y,z'
'-x,-y,-z'
'-x,y+1/2,-z'
'x,-y+1/2,z'
loop_
_atom_site_label
_atom_site_fract_x
_atom_site_fract_y
_atom_site_fract_z
Pr1 0.0064 0.2500 0.3311
Pr2 0.2504 0.2500 0.9277
Pr3 0.4935 0.2500 0.3313
In1 0.2498 0.7500 0.1494
As1 0.2499 0.2500 0.6027
```

***

(8)
# CaU2P2O18
Computed X-ray diffraction stick pattern, Cu Ka. Input: a GGA-PBE-relaxed structure.
No peak broadening, texture or thermal motion is included.

Principal peaks in the range 5 to 70 degrees two-theta, by intensity:
2θ 10.8, I = 100, (0 0 1); 2θ 16.7, I = 90, (0 1 1); 2θ 25.3, I = 84, (1 0 2); 2θ 18.0, I = 60, (1 1 0); 2θ 25.7, I = 52, (2 0 0); 2θ 25.6, I = 43, (0 2 0); 2θ 21.1, I = 42, (1 1 1); 2θ 27.9, I = 38, (0 2 1); 2θ 36.3, I = 38, (2 1 2); 2θ 30.8, I = 25, (1 2 1)

Crystal structure
```
data_CaU2P2O18
_cell_length_a 6.9371
_cell_length_b 6.9646
_cell_length_c 8.1857
_cell_angle_alpha 90.00
_cell_angle_beta 90.00
_cell_angle_gamma 90.00
_symmetry_space_group_name_H-M 'P m m 2'
_symmetry_Int_Tables_number 25
loop_
_symmetry_equiv_pos_as_xyz
'x,y,z'
'-x,-y,z'
'-x,y,z'
'x,-y,z'
loop_
_atom_site_label
_atom_site_fract_x
_atom_site_fract_y
_atom_site_fract_z
Ca1 0.0000 0.0000 0.0000
U1 0.0000 0.0000 0.4987
U2 0.5000 0.5000 0.7238
P1 0.0000 0.5000 0.6132
P2 0.5000 0.0000 0.6110
O1 0.0000 0.0000 0.2664
O2 0.0000 0.0000 0.7315
O3 0.0000 0.3188 0.5024
O4 0.0000 0.4121 0.0945
O5 0.1771 0.5000 0.7273
O6 0.3177 0.0000 0.5005
O7 0.4025 0.0000 0.0923
O8 0.5000 0.1780 0.7229
O9 0.5000 0.2436 0.1184
O10 0.5000 0.5000 0.5029
O11 0.5000 0.5000 0.9547
```